Entry 1:
The following is a calculated X-ray diffraction stick pattern of Ba3InCu2O6. It was derived from a DFT-relaxed cell (PBE, Alexandria), using Cu Kα X-rays.
Lines closer than 0.1° are merged.

Cell: 6.116 6.116 6.865 Å, 90.00 90.00 120.00°
Fractional positions:
Ba: 0.000 0.000 0.000
Ba: 0.333 0.667 0.653
Ba: 0.667 0.333 0.347
In: 0.000 0.000 0.500
Cu: 0.333 0.667 0.215
Cu: 0.667 0.333 0.785
O: 0.164 0.327 0.305
O: 0.164 0.836 0.305
O: 0.327 0.164 0.695
O: 0.673 0.836 0.305
O: 0.836 0.164 0.695
O: 0.836 0.673 0.695

Main lines, in order of rising 2θ (5° ≤ 2θ ≤ 70°):
2θ = 29.20°, d 3.058, intensity 100, hkl 1 1 0; 2θ = 31.04°, d 2.881, intensity 80, hkl 0 1 2; 2θ = 43.13°, d 2.097, intensity 51, hkl 2 0 2; 2θ = 51.78°, d 1.766, intensity 20, hkl 3 0 0; 2θ = 52.94°, d 1.730, intensity 38, hkl 1 2 2; 2θ = 60.55°, d 1.529, intensity 17, hkl 2 2 0

Entry 2:
The following is a calculated X-ray diffraction stick pattern of YAlGeO5. It was derived from a DFT-relaxed cell (PBE, Alexandria), using Cu Kα X-rays.
Lines closer than 0.1° are merged.

Cell: 7.330 8.418 5.674 Å, 90.00 90.00 90.00°
Fractional positions:
Y: 0.143 0.174 0.000
Y: 0.357 0.674 0.000
Y: 0.643 0.326 0.000
Y: 0.857 0.826 0.000
Al: 0.000 0.500 0.250
Al: 0.000 0.500 0.750
Al: 0.500 0.000 0.250
Al: 0.500 0.000 0.750
Ge: 0.120 0.856 0.500
Ge: 0.380 0.356 0.500
Ge: 0.620 0.644 0.500
Ge: 0.880 0.144 0.500
O: 0.000 0.000 0.285
O: 0.000 0.000 0.715
O: 0.106 0.713 0.253
O: 0.106 0.713 0.747
O: 0.153 0.431 0.500
O: 0.161 0.447 0.000
O: 0.339 0.947 0.000
O: 0.347 0.931 0.500
O: 0.394 0.213 0.253
O: 0.394 0.213 0.747
O: 0.500 0.500 0.285
O: 0.500 0.500 0.715
O: 0.606 0.787 0.253
O: 0.606 0.787 0.747
O: 0.653 0.069 0.500
O: 0.661 0.053 0.000
O: 0.839 0.553 0.000
O: 0.847 0.569 0.500
O: 0.894 0.287 0.253
O: 0.894 0.287 0.747

Main lines, in order of rising 2θ (5° ≤ 2θ ≤ 70°):
2θ = 29.09°, d 3.070, intensity 79, hkl 1 2 1; 2θ = 30.93°, d 2.891, intensity 100, hkl 2 1 1; 2θ = 34.22°, d 2.621, intensity 23, hkl 1 3 0; 2θ = 47.22°, d 1.925, intensity 21, hkl 1 3 2; 2θ = 54.64°, d 1.680, intensity 19, hkl 4 2 0; 2θ = 55.78°, d 1.648, intensity 20, hkl 2 1 3

Entry 3:
The following is a calculated X-ray diffraction stick pattern of InCu3Au12. It was derived from a DFT-relaxed cell (PBE, Alexandria), using Cu Kα X-rays.
Lines closer than 0.1° are merged.

Cell: 4.139 4.139 16.185 Å, 90.00 90.00 90.00°
Fractional positions:
In: 0.000 0.000 0.000
Cu: 0.000 0.000 0.259
Cu: 0.000 0.000 0.500
Cu: 0.000 0.000 0.741
Au: 0.000 0.500 0.136
Au: 0.000 0.500 0.379
Au: 0.000 0.500 0.621
Au: 0.000 0.500 0.864
Au: 0.500 0.000 0.136
Au: 0.500 0.000 0.379
Au: 0.500 0.000 0.621
Au: 0.500 0.000 0.864
Au: 0.500 0.500 0.000
Au: 0.500 0.500 0.258
Au: 0.500 0.500 0.500
Au: 0.500 0.500 0.742

Main lines, in order of rising 2θ (5° ≤ 2θ ≤ 70°):
2θ = 21.47°, d 4.139, intensity 6, hkl 1 0 0; 2θ = 37.94°, d 2.371, intensity 100, hkl 1 1 4; 2θ = 43.74°, d 2.070, intensity 35, hkl 2 0 0; 2θ = 44.80°, d 2.023, intensity 14, hkl 0 0 8; 2θ = 63.58°, d 1.463, intensity 11, hkl 2 2 0; 2θ = 64.40°, d 1.447, intensity 19, hkl 2 0 8

- Number 3 is which compound?
  InCu3Au12

Repeat the third record exactly.
The following is a calculated X-ray diffraction stick pattern of InCu3Au12. It was derived from a DFT-relaxed cell (PBE, Alexandria), using Cu Kα X-rays.
Lines closer than 0.1° are merged.

Cell: 4.139 4.139 16.185 Å, 90.00 90.00 90.00°
Fractional positions:
In: 0.000 0.000 0.000
Cu: 0.000 0.000 0.259
Cu: 0.000 0.000 0.500
Cu: 0.000 0.000 0.741
Au: 0.000 0.500 0.136
Au: 0.000 0.500 0.379
Au: 0.000 0.500 0.621
Au: 0.000 0.500 0.864
Au: 0.500 0.000 0.136
Au: 0.500 0.000 0.379
Au: 0.500 0.000 0.621
Au: 0.500 0.000 0.864
Au: 0.500 0.500 0.000
Au: 0.500 0.500 0.258
Au: 0.500 0.500 0.500
Au: 0.500 0.500 0.742

Main lines, in order of rising 2θ (5° ≤ 2θ ≤ 70°):
2θ = 21.47°, d 4.139, intensity 6, hkl 1 0 0; 2θ = 37.94°, d 2.371, intensity 100, hkl 1 1 4; 2θ = 43.74°, d 2.070, intensity 35, hkl 2 0 0; 2θ = 44.80°, d 2.023, intensity 14, hkl 0 0 8; 2θ = 63.58°, d 1.463, intensity 11, hkl 2 2 0; 2θ = 64.40°, d 1.447, intensity 19, hkl 2 0 8